# 1
Diffraction record for SmDy9Sc2. The powder diffraction line list is theoretical, not measured: it uses DFT lattice parameters and positions (GGA-PBE) and Cu Kα (λ = 1.5418 Å).

Principal peaks in the range 10 to 90 degrees two-theta, in order of rising 2θ:
d 5.528, 2θ = 16.03°, I = 10; d 3.619, 2θ = 24.60°, I = 12; d 2.938, 2θ = 30.43°, I = 13; d 2.809, 2θ = 31.86°, I = 90; d 2.764, 2θ = 32.39°, I = 100; d 2.504, 2θ = 35.86°, I = 18; d 1.970, 2θ = 46.07°, I = 30; d 1.604, 2θ = 57.44°, I = 30; d 1.596, 2θ = 57.77°, I = 16; d 1.469, 2θ = 63.31°, I = 29; d 1.240, 2θ = 76.88°, I = 10; d 1.174, 2θ = 82.07°, I = 12

Structure:
abc: 11.0566 11.0566 3.4681
angles: 90.00 90.00 120.00
Atoms (fractional coordinates):
Sm  0.0000  0.0000  0.0000
Dy  0.0000  0.5000  0.0000
Dy  0.1799  0.3598  0.5000
Dy  0.1799  0.8201  0.5000
Dy  0.3598  0.1799  0.5000
Dy  0.5000  0.0000  0.0000
Dy  0.5000  0.5000  0.0000
Dy  0.6402  0.8201  0.5000
Dy  0.8201  0.1799  0.5000
Dy  0.8201  0.6402  0.5000
Sc  0.3333  0.6667  0.0000
Sc  0.6667  0.3333  0.0000

=====

# 2
Diffraction record for Ti3Ni4. The powder diffraction line list is theoretical, not measured: it uses DFT lattice parameters and positions (GGA-PBE) and Cu Kα (λ = 1.5418 Å).

Principal peaks in the range 10 to 90 degrees two-theta, in order of rising 2θ:
d 2.976, 2θ = 30.03°, I = 5; d 2.383, 2θ = 37.75°, I = 11; d 2.240, 2θ = 40.27°, I = 8; d 2.128, 2θ = 42.49°, I = 100; d 2.081, 2θ = 43.49°, I = 88; d 2.045, 2θ = 44.30°, I = 9; d 1.844, 2θ = 49.42°, I = 11; d 1.488, 2θ = 62.42°, I = 20; d 1.228, 2θ = 77.74°, I = 9; d 1.219, 2θ = 78.44°, I = 17; d 1.212, 2θ = 79.01°, I = 5; d 1.193, 2θ = 80.52°, I = 5

Structure:
abc: 6.7142 6.7142 6.7142
angles: 113.95 113.95 113.95
Atoms (fractional coordinates):
Ti  0.0032  0.7401  0.6065
Ti  0.2599  0.3935  0.9968
Ti  0.3935  0.9968  0.2599
Ti  0.6065  0.0032  0.7401
Ti  0.7401  0.6065  0.0032
Ti  0.9968  0.2599  0.3935
Ni  0.0000  0.0000  0.0000
Ni  0.0823  0.5596  0.2414
Ni  0.2414  0.0823  0.5596
Ni  0.4404  0.7586  0.9177
Ni  0.5000  0.5000  0.5000
Ni  0.5596  0.2414  0.0823
Ni  0.7586  0.9177  0.4404
Ni  0.9177  0.4404  0.7586